For BaVCu4P4O17, a PBE+U-relaxed structure gives the theoretical powder XRD pattern in this record (Cu Ka).

The 10 most intense peaks (2θ = 5–70°), sorted by position:
2θ/deg, Rel. int., index
21.90, 56.6, 2 0 1
25.92, 23.1, 1 0 2
28.64, 100.0, 2 2 1
30.11, 25.0, 3 0 1
30.49, 49.5, 2 0 2
38.14, 21.3, 3 1 2
41.50, 23.2, 4 2 0
53.23, 22.8, 4 4 0
56.80, 22.9, 2 2 4
61.56, 24.9, 6 2 1

Crystal structure
Cell lengths 9.7346, 9.7346, 7.3469 Å; angles 90.00, 90.00, 90.00 degrees
Space group P42_12 (No. 90)
Asymmetric unit:
Ba 0.0000 0.0000 0.0000 (multiplicity 2)
V 0.0000 0.5000 0.0436 (multiplicity 2)
Cu 0.0137 0.2620 0.5965 (multiplicity 8)
P 0.1906 0.7182 0.2662 (multiplicity 8)
O 0.0000 0.5000 0.8206 (multiplicity 2)
O 0.1049 0.6586 0.1039 (multiplicity 8)
O 0.1261 0.8393 0.7369 (multiplicity 8)
O 0.1364 0.6531 0.4486 (multiplicity 8)
O 0.1570 0.1793 0.7576 (multiplicity 8)

For BaSrV4Cu4O16, a PBE+U-relaxed structure gives the theoretical powder XRD pattern in this record (Cu Ka).

The 10 most intense peaks (2θ = 5–70°), sorted by position:
2θ/deg, Rel. int., index
25.82, 17.9, 2 0 2
30.59, 39.1, 4 1 1
30.99, 100.0, 4 2 0
36.50, 25.3, 2 1 3
39.18, 16.6, 5 2 1
42.01, 23.2, 6 0 0
46.69, 22.9, 5 3 2
59.03, 16.0, 8 2 0
60.92, 15.5, 6 6 0
62.75, 23.3, 6 0 4

Crystal structure
Cell lengths 12.9031, 12.9031, 8.1665 Å; angles 90.00, 90.00, 90.00 degrees
Space group I-42d (No. 122)
Asymmetric unit:
Ba 0.0000 0.0000 0.0000 (multiplicity 4)
Sr 0.0000 0.0000 0.5000 (multiplicity 4)
V 0.0555 0.7500 0.1250 (multiplicity 8)
V 0.0953 0.2500 0.6250 (multiplicity 8)
Cu 0.1587 0.6743 0.4947 (multiplicity 16)
O 0.0178 0.1578 0.7118 (multiplicity 16)
O 0.0213 0.1589 0.2287 (multiplicity 16)
O 0.1342 0.6811 0.2614 (multiplicity 16)
O 0.1719 0.1767 0.4811 (multiplicity 16)

For BaV2CuO7, a PBE+U-relaxed structure gives the theoretical powder XRD pattern in this record (Cu Ka).

The 10 most intense peaks (2θ = 5–70°), sorted by position:
2θ/deg, Rel. int., index
11.53, 27.4, 2 0 0
23.17, 26.1, 4 0 0
26.37, 38.5, 3 1 1
28.21, 56.0, 4 1 0
29.01, 100.0, 1 1 2
30.61, 25.5, 4 1 1
32.04, 44.3, 0 2 0
33.47, 40.7, 3 1 2
40.51, 30.7, 1 2 2
58.79, 27.1, 0 2 4

Crystal structure
Cell lengths 15.3535, 5.5866, 7.5975 Å; angles 90.00, 90.00, 90.00 degrees
Space group Pnma (No. 62)
Asymmetric unit:
Ba 0.2002 0.2500 0.1163 (multiplicity 4)
V 0.0908 0.7500 0.8865 (multiplicity 4)
V 0.1067 0.7500 0.3570 (multiplicity 4)
Cu 0.1320 0.2500 0.6144 (multiplicity 4)
O 0.0037 0.7500 0.4176 (multiplicity 4)
O 0.0173 0.2500 0.1372 (multiplicity 4)
O 0.1274 0.7500 0.1186 (multiplicity 4)
O 0.1423 0.0015 0.7972 (multiplicity 8)
O 0.1630 0.0017 0.4382 (multiplicity 8)

For BaV2Cu2O8, a PBE+U-relaxed structure gives the theoretical powder XRD pattern in this record (Cu Ka).

The 10 most intense peaks (2θ = 5–70°), sorted by position:
2θ/deg, Rel. int., index
23.71, 19.2, 1 1 2
25.62, 21.1, 2 0 2
30.16, 45.9, 4 1 1
30.51, 55.6, 4 2 0
30.66, 100.0, 3 1 2
36.24, 18.3, 2 1 3
38.60, 19.3, 5 2 1
41.35, 25.6, 6 0 0
46.05, 33.5, 5 3 2
62.07, 28.9, 6 0 4

Crystal structure
Cell lengths 13.1018, 13.1018, 8.2073 Å; angles 90.00, 90.00, 90.00 degrees
Space group I-42d (No. 122)
Asymmetric unit:
Ba 0.0000 0.0000 0.0000 (multiplicity 4)
Ba 0.0000 0.0000 0.5000 (multiplicity 4)
V 0.0486 0.2500 0.1250 (multiplicity 8)
V 0.1001 0.7500 0.6250 (multiplicity 8)
Cu 0.1566 0.1768 0.7573 (multiplicity 16)
O 0.0230 0.6616 0.5349 (multiplicity 16)
O 0.0271 0.6581 0.0253 (multiplicity 16)
O 0.1247 0.1835 0.9873 (multiplicity 16)
O 0.1744 0.6777 0.7708 (multiplicity 16)

For Ba4YCuW2O12, a PBE+U-relaxed structure gives the theoretical powder XRD pattern in this record (Cu Ka).

The 10 most intense peaks (2θ = 5–70°), sorted by position:
2θ/deg, Rel. int., index
18.17, 11.5, 1 0 1
29.89, 100.0, 2 0 0
35.10, 1.7, 1 0 3
35.26, 3.4, 2 1 1
42.60, 9.3, 0 0 4
42.87, 19.7, 2 2 0
52.95, 12.5, 2 0 4
53.12, 26.5, 3 1 2
62.03, 11.5, 2 2 4
62.24, 6.1, 4 0 0

Crystal structure
Cell lengths 5.9664, 5.9664, 8.4887 Å; angles 90.00, 90.00, 90.00 degrees
Space group P4/mmm (No. 123)
Asymmetric unit:
Ba 0.0000 0.5000 0.2339 (multiplicity 4)
Y 0.0000 0.0000 0.5000 (multiplicity 1)
Cu 0.5000 0.5000 0.0000 (multiplicity 1)
W 0.0000 0.0000 0.0000 (multiplicity 1)
W 0.5000 0.5000 0.5000 (multiplicity 1)
O 0.0000 0.0000 0.2351 (multiplicity 2)
O 0.2308 0.2308 0.0000 (multiplicity 4)
O 0.2657 0.2657 0.5000 (multiplicity 4)
O 0.5000 0.5000 0.2719 (multiplicity 2)

For BaEuDyVO6, a PBE+U-relaxed structure gives the theoretical powder XRD pattern in this record (Cu Ka).

The 10 most intense peaks (2θ = 5–70°), sorted by position:
2θ/deg, Rel. int., index
18.13, 9.6, 1 1 1
29.82, 100.0, 2 2 0
35.12, 8.1, 3 1 1
36.73, 5.2, 2 2 2
42.67, 30.0, 4 0 0
46.72, 4.7, 3 3 1
52.93, 40.0, 4 2 2
56.41, 2.5, 3 3 3
61.94, 18.5, 4 4 0
65.11, 2.4, 5 3 1

Crystal structure
Cell lengths 8.4751, 8.4751, 8.4751 Å; angles 90.00, 90.00, 90.00 degrees
Space group F-43m (No. 216)
Asymmetric unit:
Ba 0.0000 0.0000 0.0000 (multiplicity 4)
Eu 0.0000 0.0000 0.5000 (multiplicity 4)
Dy 0.2500 0.2500 0.2500 (multiplicity 4)
V 0.2500 0.2500 0.7500 (multiplicity 4)
O 0.0187 0.2500 0.7500 (multiplicity 24)

For BaNdDyFeO6, a PBE+U-relaxed structure gives the theoretical powder XRD pattern in this record (Cu Ka).

The 10 most intense peaks (2θ = 5–70°), sorted by position:
2θ/deg, Rel. int., index
18.61, 8.5, 1 1 1
30.62, 100.0, 2 2 0
36.07, 6.6, 3 1 1
37.74, 4.2, 2 2 2
43.85, 29.9, 4 0 0
48.02, 3.7, 3 3 1
54.43, 39.8, 4 2 2
58.04, 2.0, 3 3 3
63.75, 18.3, 4 4 0
67.05, 2.0, 5 3 1

Crystal structure
Cell lengths 8.2579, 8.2579, 8.2579 Å; angles 90.00, 90.00, 90.00 degrees
Space group F-43m (No. 216)
Asymmetric unit:
Ba 0.0000 0.0000 0.0000 (multiplicity 4)
Nd 0.0000 0.0000 0.5000 (multiplicity 4)
Dy 0.2500 0.2500 0.7500 (multiplicity 4)
Fe 0.2500 0.2500 0.2500 (multiplicity 4)
O 0.0140 0.2500 0.2500 (multiplicity 24)

For BaDyFe4O12, a PBE+U-relaxed structure gives the theoretical powder XRD pattern in this record (Cu Ka).

The 10 most intense peaks (2θ = 5–70°), sorted by position:
2θ/deg, Rel. int., index
19.98, 100.0, 1 0 1
32.81, 36.3, 2 0 0
32.96, 70.8, 1 1 2
38.71, 36.2, 2 1 1
38.98, 17.5, 1 0 3
47.08, 30.0, 2 2 0
51.84, 16.1, 2 1 3
58.66, 27.4, 3 1 2
58.96, 14.3, 2 0 4
69.14, 16.1, 2 2 4

Crystal structure
Cell lengths 5.4599, 5.4599, 7.6511 Å; angles 90.00, 90.00, 90.00 degrees
Space group P4/mmm (No. 123)
Asymmetric unit:
Ba 0.0000 0.0000 0.0000 (multiplicity 1)
Dy 0.5000 0.5000 0.5000 (multiplicity 1)
Fe 0.0000 0.5000 0.2516 (multiplicity 4)
O 0.0000 0.5000 0.0000 (multiplicity 2)
O 0.0000 0.5000 0.5000 (multiplicity 2)
O 0.2623 0.2623 0.2704 (multiplicity 8)